Simulated powder diffraction line list
Compound: UMnAsO6
Radiation: Cu Ka
Structure: a crystal structure in Alexandria, relaxed with GGA+U
No peak broadening, texture or thermal motion is included.

Principal peaks in the range 2θ = 5–70°, low angle first:
| Position (°2θ) | intensity |
| --- | --- |
| 18.0 | 30 |
| 20.2 | 52 |
| 25.6 | 100 |
| 31.5 | 30 |
| 32.8 | 79 |
| 36.5 | 25 |
| 49.9 | 77 |
| 52.6 | 21 |
| 62.6 | 23 |
| 63.4 | 32 |

Atomic structure:
abc: 4.9167 4.9167 9.8465
angles: 90.00 90.00 90.00
Space group P4_2nm (No. 102)
Asymmetric unit:
U (0.0000, 0.0000, 0.0000) x2
Mn (0.0000, 0.0000, 0.3377) x2
As (0.0000, 0.0000, 0.6447) x2
O (0.1824, 0.1824, 0.5065) x4
O (0.1884, 0.1884, 0.1590) x4
O (0.2139, 0.2139, 0.8543) x4